For RbSO2F, a PBE-relaxed structure gives the computed powder diffractogram in this record (Cu Kα, 1.54184 Å).
No peak broadening, texture or thermal motion is included.

Crystal structure
```
RbSO2F
1.0
4.886 0.000 0.000
0.000 6.030 0.000
-2.261 0.000 7.046
Rb S O F
2 2 4 2
direct
0.157 0.250 0.285
0.843 0.750 0.715
0.399 0.250 0.816
0.601 0.750 0.184
0.335 0.047 0.698
0.335 0.453 0.698
0.665 0.547 0.302
0.665 0.953 0.302
0.208 0.750 0.123
0.792 0.250 0.877
```

Principal peaks in the range 10° ≤ 2θ ≤ 90°, by angle:
Position (°2θ), I/Imax
24.16, 712
24.41, 1000
25.28, 802
29.36, 374
29.63, 397
40.25, 416

=====

For RbSbSO4F2, a PBE-relaxed structure gives the computed powder diffractogram in this record (Cu Kα, 1.54184 Å).
No peak broadening, texture or thermal motion is included.

Crystal structure
```
RbSbSO4F2
1.0
9.761 0.000 0.000
0.000 11.637 0.000
0.000 0.000 5.417
Rb Sb S O F
4 4 4 16 8
direct
0.016 0.159 0.000
0.484 0.659 0.500
0.516 0.341 0.000
0.984 0.841 0.500
0.171 0.584 0.016
0.329 0.084 0.516
0.671 0.916 0.016
0.829 0.416 0.516
0.201 0.366 0.459
0.299 0.866 0.959
0.701 0.134 0.459
0.799 0.634 0.959
0.082 0.335 0.613
0.146 0.422 0.224
0.201 0.941 0.087
0.227 0.759 0.864
0.273 0.259 0.364
0.299 0.441 0.587
0.354 0.922 0.724
0.418 0.835 0.113
0.582 0.165 0.613
0.646 0.078 0.224
0.701 0.559 0.087
0.727 0.741 0.864
0.773 0.241 0.364
0.799 0.059 0.587
0.854 0.578 0.724
0.918 0.665 0.113
0.128 0.061 0.546
0.180 0.659 0.340
0.320 0.159 0.840
0.372 0.561 0.046
0.628 0.439 0.546
0.680 0.841 0.340
0.820 0.341 0.840
0.872 0.939 0.046
```

Principal peaks in the range 10° ≤ 2θ ≤ 90°, by angle:
Position (°2θ), I/Imax
20.24, 376
24.23, 1000
25.73, 853
28.30, 420
28.49, 532
33.07, 369

=====

For Rb2Sb2OF10, a PBE-relaxed structure gives the computed powder diffractogram in this record (Cu Kα, 1.54184 Å).
No peak broadening, texture or thermal motion is included.

Crystal structure
```
Rb2Sb2OF10
1.0
8.203 0.000 0.000
0.000 15.584 0.000
-7.220 0.000 8.529
Rb Sb O F
8 8 4 40
direct
0.035 0.043 0.329
0.035 0.457 0.829
0.285 0.184 0.032
0.285 0.316 0.532
0.715 0.684 0.468
0.715 0.816 0.968
0.965 0.543 0.171
0.965 0.957 0.671
0.170 0.743 0.952
0.170 0.757 0.452
0.432 0.572 0.693
0.432 0.928 0.193
0.568 0.072 0.807
0.568 0.428 0.307
0.830 0.243 0.548
0.830 0.257 0.048
0.206 0.657 0.574
0.206 0.843 0.074
0.794 0.157 0.926
0.794 0.343 0.426
0.025 0.686 0.014
0.025 0.814 0.514
0.102 0.210 0.227
0.102 0.290 0.727
0.105 0.644 0.824
0.105 0.856 0.324
0.260 0.505 0.720
0.260 0.995 0.220
0.292 0.702 0.372
0.292 0.798 0.872
0.311 0.504 0.506
0.311 0.996 0.006
0.347 0.515 0.186
0.347 0.985 0.686
0.377 0.127 0.827
0.377 0.373 0.327
0.431 0.130 0.610
0.431 0.370 0.110
0.437 0.692 0.122
0.437 0.808 0.622
0.563 0.192 0.378
0.563 0.308 0.878
0.569 0.630 0.890
0.569 0.870 0.390
0.623 0.627 0.673
0.623 0.873 0.173
0.653 0.015 0.314
0.653 0.485 0.814
0.689 0.004 0.994
0.689 0.496 0.494
0.708 0.202 0.128
0.708 0.298 0.628
0.740 0.005 0.780
0.740 0.495 0.280
0.895 0.144 0.676
0.895 0.356 0.176
0.898 0.710 0.273
0.898 0.790 0.773
0.975 0.186 0.486
0.975 0.314 0.986
```

Principal peaks in the range 10° ≤ 2θ ≤ 90°, by angle:
Position (°2θ), I/Imax
21.81, 1000
23.79, 755
25.17, 292
25.33, 887
27.03, 456
40.48, 292

=====

For Rb2ScSi4O10F, a PBE-relaxed structure gives the computed powder diffractogram in this record (Cu Kα, 1.54184 Å).
No peak broadening, texture or thermal motion is included.

Crystal structure
```
Rb2ScSi4O10F
1.0
-5.716 5.716 4.224
5.716 -5.716 4.224
5.716 5.716 -4.224
Rb Sc Si O F
4 2 8 20 2
direct
0.188 0.808 0.996
0.192 0.188 0.381
0.808 0.812 0.619
0.812 0.192 0.004
0.257 0.257 0.000
0.743 0.743 0.000
0.004 0.682 0.305
0.302 0.996 0.679
0.318 0.623 0.321
0.377 0.698 0.695
0.623 0.302 0.305
0.682 0.377 0.679
0.698 0.004 0.321
0.996 0.318 0.695
0.058 0.243 0.817
0.104 0.835 0.500
0.165 0.665 0.269
0.180 0.538 0.718
0.241 0.058 0.816
0.243 0.426 0.184
0.335 0.604 0.500
0.396 0.896 0.731
0.426 0.241 0.183
0.462 0.180 0.642
0.538 0.820 0.358
0.574 0.759 0.817
0.604 0.104 0.269
0.665 0.396 0.500
0.757 0.574 0.816
0.759 0.942 0.184
0.820 0.462 0.282
0.835 0.335 0.731
0.896 0.165 0.500
0.942 0.757 0.183
0.000 0.000 0.000
0.500 0.500 0.000
```

Principal peaks in the range 10° ≤ 2θ ≤ 90°, by angle:
Position (°2θ), I/Imax
25.64, 1000
26.23, 573
30.10, 240
30.61, 279
32.60, 212
33.25, 297